Record 1
Structure and computed XRD peak list of MgMn4Ni2O8 (a DFT-relaxed cell (PBE+U, the Materials Project); Cu Kα (λ = 1.5418 Å)).
Peak positions follow from Bragg's law for the DFT cell and can differ from measured ones.

Structure:
abc: 6.190 6.190 6.190
angles: 120.49 116.29 92.85
Fractional coordinates of all 15 atoms:
Mg 0.000 0.000 0.000
Mn 0.148 0.409 0.739
Mn 0.582 0.082 0.500
Mn 0.670 0.409 0.261
Mn 0.687 0.687 0.000
Ni 0.211 0.488 0.277
Ni 0.211 0.934 0.723
O 0.334 0.635 0.699
O 0.386 0.183 0.203
O 0.441 0.218 0.778
O 0.441 0.663 0.222
O 0.875 0.138 0.263
O 0.875 0.612 0.737
O 0.936 0.635 0.301
O 0.981 0.183 0.797

The 8 most intense peaks (5° ≤ 2θ ≤ 70°), low angle first:
d = 3.267 Å, rel. 38
d = 2.733 Å, rel. 100
d = 2.643 Å, rel. 96
d = 2.594 Å, rel. 44
d = 2.581 Å, rel. 61
d = 2.238 Å, rel. 40
d = 1.989 Å, rel. 45
d = 1.739 Å, rel. 45

=====

Record 2
Structure and computed XRD peak list of MgMnNiP2O9 (a DFT-relaxed cell (PBE+U, the Materials Project); Cu Kα (λ = 1.5418 Å)).
Peak positions follow from Bragg's law for the DFT cell and can differ from measured ones.

Structure:
abc: 14.216 6.216 7.225
angles: 90.00 90.00 90.00
Fractional coordinates of all 56 atoms:
Mg 0.221 0.250 0.118
Mg 0.279 0.750 0.618
Mg 0.721 0.250 0.382
Mg 0.779 0.750 0.882
Mn 0.120 0.250 0.648
Mn 0.380 0.750 0.148
Mn 0.620 0.250 0.852
Mn 0.880 0.750 0.352
Ni 0.000 0.000 0.000
Ni 0.000 0.500 0.000
Ni 0.500 0.000 0.500
Ni 0.500 0.500 0.500
P 0.066 0.750 0.639
P 0.198 0.750 0.107
P 0.302 0.250 0.607
P 0.434 0.250 0.139
P 0.566 0.750 0.861
P 0.698 0.750 0.393
P 0.802 0.250 0.893
P 0.934 0.250 0.361
O 0.006 0.250 0.512
O 0.020 0.750 0.830
O 0.054 0.250 0.857
O 0.139 0.561 0.625
O 0.139 0.939 0.625
O 0.141 0.537 0.110
O 0.141 0.963 0.110
O 0.228 0.250 0.447
O 0.236 0.250 0.786
O 0.264 0.750 0.286
O 0.272 0.750 0.947
O 0.359 0.037 0.610
O 0.359 0.463 0.610
O 0.361 0.061 0.125
O 0.361 0.439 0.125
O 0.446 0.750 0.357
O 0.480 0.250 0.330
O 0.494 0.750 0.012
O 0.506 0.250 0.988
O 0.520 0.750 0.670
O 0.554 0.250 0.643
O 0.639 0.561 0.875
O 0.639 0.939 0.875
O 0.641 0.537 0.390
O 0.641 0.963 0.390
O 0.728 0.250 0.053
O 0.736 0.250 0.714
O 0.764 0.750 0.214
O 0.772 0.750 0.553
O 0.859 0.037 0.890
O 0.859 0.463 0.890
O 0.861 0.061 0.375
O 0.861 0.439 0.375
O 0.946 0.750 0.143
O 0.980 0.250 0.170
O 0.994 0.750 0.488

The 8 most intense peaks (5° ≤ 2θ ≤ 70°), low angle first:
d = 6.441 Å, rel. 26
d = 5.067 Å, rel. 55
d = 3.501 Å, rel. 100
d = 3.189 Å, rel. 28
d = 2.799 Å, rel. 63
d = 2.647 Å, rel. 59
d = 2.236 Å, rel. 28
d = 1.582 Å, rel. 31

=====

Copy entry 2 word for word.
Structure and computed XRD peak list of MgMnNiP2O9 (a DFT-relaxed cell (PBE+U, the Materials Project); Cu Kα (λ = 1.5418 Å)).
Peak positions follow from Bragg's law for the DFT cell and can differ from measured ones.

Structure:
abc: 14.216 6.216 7.225
angles: 90.00 90.00 90.00
Fractional coordinates of all 56 atoms:
Mg 0.221 0.250 0.118
Mg 0.279 0.750 0.618
Mg 0.721 0.250 0.382
Mg 0.779 0.750 0.882
Mn 0.120 0.250 0.648
Mn 0.380 0.750 0.148
Mn 0.620 0.250 0.852
Mn 0.880 0.750 0.352
Ni 0.000 0.000 0.000
Ni 0.000 0.500 0.000
Ni 0.500 0.000 0.500
Ni 0.500 0.500 0.500
P 0.066 0.750 0.639
P 0.198 0.750 0.107
P 0.302 0.250 0.607
P 0.434 0.250 0.139
P 0.566 0.750 0.861
P 0.698 0.750 0.393
P 0.802 0.250 0.893
P 0.934 0.250 0.361
O 0.006 0.250 0.512
O 0.020 0.750 0.830
O 0.054 0.250 0.857
O 0.139 0.561 0.625
O 0.139 0.939 0.625
O 0.141 0.537 0.110
O 0.141 0.963 0.110
O 0.228 0.250 0.447
O 0.236 0.250 0.786
O 0.264 0.750 0.286
O 0.272 0.750 0.947
O 0.359 0.037 0.610
O 0.359 0.463 0.610
O 0.361 0.061 0.125
O 0.361 0.439 0.125
O 0.446 0.750 0.357
O 0.480 0.250 0.330
O 0.494 0.750 0.012
O 0.506 0.250 0.988
O 0.520 0.750 0.670
O 0.554 0.250 0.643
O 0.639 0.561 0.875
O 0.639 0.939 0.875
O 0.641 0.537 0.390
O 0.641 0.963 0.390
O 0.728 0.250 0.053
O 0.736 0.250 0.714
O 0.764 0.750 0.214
O 0.772 0.750 0.553
O 0.859 0.037 0.890
O 0.859 0.463 0.890
O 0.861 0.061 0.375
O 0.861 0.439 0.375
O 0.946 0.750 0.143
O 0.980 0.250 0.170
O 0.994 0.750 0.488

The 8 most intense peaks (5° ≤ 2θ ≤ 70°), low angle first:
d = 6.441 Å, rel. 26
d = 5.067 Å, rel. 55
d = 3.501 Å, rel. 100
d = 3.189 Å, rel. 28
d = 2.799 Å, rel. 63
d = 2.647 Å, rel. 59
d = 2.236 Å, rel. 28
d = 1.582 Å, rel. 31